No. 1
The following is a calculated X-ray diffraction stick pattern of CsNbBr2. It was derived from DFT lattice parameters and positions (GGA-PBE), using a wavelength of 1.5418 Å.
Intensities are scaled so that the largest is 100.

Structural model:
Cell lengths 7.9826, 7.9826, 7.9826 Å; angles 90.00, 90.00, 90.00 degrees
Space group Fm-3m (No. 225)
One atom of each set of equivalent atoms:
Cs: 0.0000 0.0000 0.0000 x4
Nb: 0.0000 0.0000 0.5000 x4
Br: 0.2500 0.2500 0.2500 x8

The 12 most intense peaks (2θ = 10–90°), in order of rising 2θ:
19.26 deg, intensity 2, (1 1 1); 22.27 deg, intensity 3, (2 0 0); 31.70 deg, intensity 100, (2 2 0); 37.36 deg, intensity 1, (3 1 1); 39.09 deg, intensity 1, (2 2 2); 45.45 deg, intensity 18, (4 0 0); 51.18 deg, intensity 1, (4 2 0); 56.47 deg, intensity 37, (4 2 2); 66.23 deg, intensity 12, (4 4 0); 70.82 deg, intensity 1, (6 0 0); 75.29 deg, intensity 16, (6 2 0); 83.99 deg, intensity 4, (4 4 4)

***

No. 2
The following is a calculated X-ray diffraction stick pattern of Tm2Cu5Ni4. It was derived from DFT lattice parameters and positions (GGA-PBE), using a wavelength of 1.5418 Å.
Intensities are scaled so that the largest is 100.

Structural model:
Cell lengths 4.9300, 8.3104, 15.9088 Å; angles 90.00, 90.00, 90.00 degrees
Space group Fmmm (No. 69)
One atom of each set of equivalent atoms:
Tm: 0.0000 0.0000 0.1335 x8
Cu: 0.0000 0.0000 0.5000 x4
Cu: 0.2500 0.2500 0.0000 x8
Cu: 0.2500 0.2500 0.2500 x8
Ni: 0.0000 0.1611 0.3724 x16

The 12 most intense peaks (2θ = 10–90°), in order of rising 2θ:
22.35 deg, intensity 25, (0 0 4); 26.92 deg, intensity 61, (1 1 3); 31.13 deg, intensity 66, (0 2 4); 37.67 deg, intensity 50, (1 3 1); 41.07 deg, intensity 100, (1 3 3); 42.65 deg, intensity 51, (2 2 0); 43.18 deg, intensity 96, (2 0 4); 45.62 deg, intensity 53, (0 0 8); 47.25 deg, intensity 38, (1 3 5); 55.52 deg, intensity 32, (1 3 7); 64.22 deg, intensity 26, (2 2 8); 68.73 deg, intensity 21, (3 3 3)

***

No. 3
The following is a calculated X-ray diffraction stick pattern of AsPb4Au5. It was derived from DFT lattice parameters and positions (GGA-PBE), using a wavelength of 1.5418 Å.
Intensities are scaled so that the largest is 100.

Structural model:
Cell lengths 9.6904, 9.6904, 5.1092 Å; angles 90.00, 90.00, 90.00 degrees
Space group I4mm (No. 107)
One atom of each set of equivalent atoms:
As: 0.0000 0.0000 0.0000 x2
Pb: 0.0000 0.3060 0.3001 x8
Au: 0.0000 0.0000 0.4944 x2
Au: 0.1863 0.1863 0.8011 x8

The 12 most intense peaks (2θ = 10–90°), in order of rising 2θ:
32.80 deg, intensity 100, (3 0 1); 35.13 deg, intensity 17, (0 0 2); 37.11 deg, intensity 8, (4 0 0); 37.82 deg, intensity 11, (3 2 1); 39.45 deg, intensity 36, (3 3 0); 39.89 deg, intensity 12, (2 0 2); 50.36 deg, intensity 11, (5 0 1); 53.84 deg, intensity 15, (3 3 2); 57.02 deg, intensity 10, (6 0 0); 61.56 deg, intensity 14, (3 0 3); 67.20 deg, intensity 10, (5 3 2); 67.37 deg, intensity 15, (6 3 1)